Structure and simulated XRD peak list of Sr2HoGaCu2O7 (the GGA-PBE geometry in the Materials Project; a wavelength of 1.5418 Å).
Neutral-atom scattering factors, no anomalous dispersion.

Crystal structure
```
data_Sr2HoGaCu2O7
_chemical_formula_sum 'Sr8 Ho4 Ga4 Cu8 O28'
_cell_length_a 23.1687
_cell_length_b 5.5094
_cell_length_c 5.4100
_cell_angle_alpha 90.00
_cell_angle_beta 90.00
_cell_angle_gamma 90.00
_symmetry_space_group_name_H-M 'I m a 2'
_symmetry_Int_Tables_number 46
loop_
_symmetry_equiv_pos_as_xyz
'x,y,z'
'-x,-y,z'
'-x+1/2,y,z'
'x+1/2,-y,z'
'x+1/2,y+1/2,z+1/2'
'-x+1/2,-y+1/2,z+1/2'
'-x,y+1/2,z+1/2'
'x,-y+1/2,z+1/2'
loop_
_atom_site_label
_atom_site_type_symbol
_atom_site_fract_x
_atom_site_fract_y
_atom_site_fract_z
_atom_site_occupancy
Sr1 Sr 0.1511 0.0163 0.0000 1
Ho1 Ho 0.0000 0.0000 0.0013 1
Ga1 Ga 0.2500 0.5691 0.9635 1
Cu1 Cu 0.0711 0.5007 0.0018 1
O1 O 0.0607 0.2487 0.2506 1
O2 O 0.0634 0.7502 0.2516 1
O3 O 0.1764 0.0439 0.5292 1
O4 O 0.2500 0.6148 0.6108 1
```

Most intense lines, 10° ≤ 2θ ≤ 90°, in order of rising 2θ:
23.04 deg, d 3.860, rel. 9
24.30 deg, d 3.662, rel. 9
32.50 deg, d 2.755, rel. 29
32.81 deg, d 2.730, rel. 100
33.12 deg, d 2.705, rel. 30
38.88 deg, d 2.317, rel. 31
47.08 deg, d 1.930, rel. 38
58.18 deg, d 1.586, rel. 17
58.96 deg, d 1.567, rel. 19
62.28 deg, d 1.491, rel. 8
68.77 deg, d 1.365, rel. 7
78.32 deg, d 1.221, rel. 9